(1)
Starting from a cell relaxed with GGA-PBE, the powder diffraction line list of LaPm2TaO8 was simulated for Cu Kα X-rays.

The 10 most intense peaks (15° ≤ 2θ ≤ 90°), in order of falling intensity:
2θ/deg, intensity, index
27.7, 100, 1 1 0
28.6, 98, 0 1 2
46.8, 67, 1 2 2
32.7, 42, 1 0 2
54.9, 32, 2 1 2
56.4, 28, 1 1 4
32.5, 22, 0 2 0
45.8, 19, 2 0 0
55.1, 16, 1 3 0
77.6, 15, 0 1 6

Structure:
```
12
Lattice="3.960 0.000 0.000 0.000 5.510 0.000 0.000 0.000 7.570" Properties=species:S:1:pos:R:3 pbc="T T T"
La 0.000 0.000 0.000
Pm 1.980 2.755 1.876
Pm 1.980 2.755 5.694
Ta 0.000 0.000 3.785
O 0.000 1.325 2.222
O 0.000 1.325 5.348
O 0.000 4.185 2.222
O 0.000 4.185 5.348
O 1.980 0.999 3.785
O 1.980 1.420 0.000
O 1.980 4.089 0.000
O 1.980 4.511 3.785
```



(2)
Starting from a cell relaxed with GGA-PBE, the powder diffraction line list of TaTeCl9 was simulated for Cu Kα X-rays.

The 10 most intense peaks (15° ≤ 2θ ≤ 90°), in order of falling intensity:
2θ/deg, intensity, index
16.0, 100, 0 0 2
17.2, 66, 1 1 0
15.7, 63, 1 -1 0
15.9, 56, 0 1 -2
18.6, 56, 0 2 0
22.0, 46, 1 -2 0
39.3, 31, -2 2 3
39.3, 30, 1 4 -1
30.4, 27, 1 3 -2
45.8, 22, 3 -2 1

Structure:
```
22
Lattice="6.755 0.000 0.000 -0.209 9.994 0.000 -2.949 -3.521 11.081" Properties=species:S:1:pos:R:3 pbc="T T T"
Ta 0.178 1.956 2.431
Ta 3.419 4.517 8.650
Te 0.047 1.094 7.352
Te 3.549 5.378 3.729
Cl -2.394 6.610 8.491
Cl -1.336 6.359 4.743
Cl -2.311 3.994 10.639
Cl -1.394 3.651 7.388
Cl 1.048 4.251 2.502
Cl -0.670 0.698 9.546
Cl 1.230 1.677 4.641
Cl 2.127 1.205 1.477
Cl 1.326 -0.881 7.250
Cl 2.270 7.354 3.831
Cl 1.469 5.267 9.604
Cl 2.366 4.795 6.440
Cl 4.267 5.775 1.535
Cl 2.548 2.222 8.579
Cl 4.990 2.822 3.692
Cl 5.908 2.478 0.442
Cl 4.933 0.114 6.338
Cl 5.990 -0.137 2.590
```